Structure and computed PXRD pattern of LaPmAsN (the GGA-PBE geometry in Alexandria; CuKα).
Lines closer than 0.1° are merged.

Crystal structure
a = 4.9235 Å, b = 4.9235 Å, c = 30.2522 Å
α = 90.00°, β = 90.00°, γ = 120.00°
Space group R-3m (No. 166, hexagonal axes)
Inequivalent atoms, fractional coordinates:
La 0.0000 0.0000 0.2190 x6
Pm 0.0000 0.0000 0.3712 x6
As 0.0000 0.0000 0.1069 x6
N 0.0000 0.0000 0.2987 x6

Largest 8 diffraction maxima, by intensity, 2θ from 5° to 70°:
- 2θ = 36.5°, I 100
- 2θ = 29.4°, I 69
- 2θ = 21.7°, I 42
- 2θ = 51.9°, I 33
- 2θ = 31.6°, I 33
- 2θ = 24.0°, I 26
- 2θ = 25.6°, I 22
- 2θ = 47.6°, I 19